[1]
Structure and simulated powder diffraction line list of Gd2NCl3 (DFT lattice parameters and positions (PBE); copper Kα).
Kinematic intensities with the Lorentz-polarization factor, no thermal factor.

Peak list (8 most intense, 10 to 90 degrees two-theta, in order of rising 2θ)
2θ/deg, intensity
13.46, 19
14.70, 32
23.74, 100
28.95, 20
33.59, 40
36.55, 58
40.52, 19
48.28, 18

Cell and atoms:
```
Gd2NCl3
1.0
13.157 0.000 0.000
0.000 6.777 0.000
0.000 0.000 6.168
Gd N Cl
8 4 12
direct
0.092 0.172 0.008 Gd
0.092 0.828 0.508 Gd
0.408 0.328 0.508 Gd
0.408 0.672 0.008 Gd
0.592 0.328 0.992 Gd
0.592 0.672 0.492 Gd
0.908 0.172 0.492 Gd
0.908 0.828 0.992 Gd
0.000 0.010 0.750 N
0.000 0.990 0.250 N
0.500 0.490 0.250 N
0.500 0.510 0.750 N
0.000 0.497 0.250 Cl
0.000 0.503 0.750 Cl
0.221 0.135 0.389 Cl
0.221 0.865 0.889 Cl
0.279 0.365 0.889 Cl
0.279 0.635 0.389 Cl
0.500 0.003 0.750 Cl
0.500 0.997 0.250 Cl
0.721 0.365 0.611 Cl
0.721 0.635 0.111 Cl
0.779 0.135 0.111 Cl
0.779 0.865 0.611 Cl
```


[2]
Structure and simulated powder diffraction line list of Nd2GaSn4 (DFT lattice parameters and positions (PBE); copper Kα).
Kinematic intensities with the Lorentz-polarization factor, no thermal factor.

Peak list (8 most intense, 10 to 90 degrees two-theta, in order of rising 2θ)
2θ/deg, intensity
33.63, 100
36.89, 20
39.99, 16
40.14, 15
55.63, 18
64.40, 16
68.59, 13
68.80, 13

Cell and atoms:
```
Nd2GaSn4
1.0
4.510 -4.493 0.000
4.510 4.493 0.000
-4.499 0.000 4.873
Nd Ga Sn
2 1 4
direct
0.000 0.500 0.000 Nd
0.500 0.000 0.000 Nd
0.000 0.000 0.000 Ga
0.000 0.000 0.500 Sn
0.000 0.500 0.500 Sn
0.500 0.000 0.500 Sn
0.500 0.500 0.500 Sn
```


[3]
Structure and simulated powder diffraction line list of La4Ru2Cl5 (DFT lattice parameters and positions (PBE); copper Kα).
Kinematic intensities with the Lorentz-polarization factor, no thermal factor.

Peak list (8 most intense, 10 to 90 degrees two-theta, in order of rising 2θ)
2θ/deg, intensity
10.53, 82
11.82, 45
16.04, 39
22.15, 37
27.00, 100
31.96, 36
36.61, 53
42.08, 33

Cell and atoms:
```
La4Ru2Cl5
1.0
8.799 -2.211 0.000
8.799 2.211 0.000
-2.952 0.000 9.480
La Ru Cl
4 2 5
direct
0.023 0.023 0.271 La
0.343 0.343 0.892 La
0.657 0.657 0.108 La
0.977 0.977 0.729 La
0.477 0.477 0.862 Ru
0.523 0.523 0.138 Ru
0.164 0.164 0.902 Cl
0.200 0.200 0.308 Cl
0.500 0.500 0.500 Cl
0.800 0.800 0.692 Cl
0.836 0.836 0.098 Cl
```


[4]
Structure and simulated powder diffraction line list of BaAg6Au6 (DFT lattice parameters and positions (PBE); copper Kα).
Kinematic intensities with the Lorentz-polarization factor, no thermal factor.

Peak list (8 most intense, 10 to 90 degrees two-theta, in order of rising 2θ)
2θ/deg, intensity
18.02, 43
36.50, 44
36.75, 82
36.84, 44
37.36, 94
41.20, 52
41.79, 100
66.21, 20

Cell and atoms:
```
BaAg6Au6
1.0
-2.762 4.892 4.924
2.762 -4.892 4.924
2.762 4.892 -4.924
Ba Ag Au
1 6 6
direct
0.000 0.000 0.000 Ba
0.228 0.500 0.728 Ag
0.357 0.000 0.357 Ag
0.358 0.358 0.000 Ag
0.642 0.642 0.000 Ag
0.643 0.000 0.643 Ag
0.772 0.500 0.272 Ag
0.000 0.000 0.500 Au
0.000 0.500 0.000 Au
0.225 0.725 0.500 Au
0.500 0.000 0.000 Au
0.500 0.500 0.500 Au
0.775 0.275 0.500 Au
```


[5]
Structure and simulated powder diffraction line list of Tb3Cu3Ni2 (DFT lattice parameters and positions (PBE); copper Kα).
Kinematic intensities with the Lorentz-polarization factor, no thermal factor.

Peak list (8 most intense, 10 to 90 degrees two-theta, in order of rising 2θ)
2θ/deg, intensity
31.27, 69
33.97, 100
34.83, 73
36.77, 76
38.14, 96
40.43, 76
41.17, 72
43.42, 47

Cell and atoms:
```
Tb3Cu3Ni2
1.0
7.233 0.000 0.000
0.000 15.443 0.000
0.000 0.000 5.270
Tb Cu Ni
12 12 8
direct
0.035 0.105 0.123 Tb
0.035 0.395 0.123 Tb
0.170 0.250 0.634 Tb
0.330 0.750 0.134 Tb
0.465 0.605 0.623 Tb
0.465 0.895 0.623 Tb
0.535 0.105 0.377 Tb
0.535 0.395 0.377 Tb
0.670 0.250 0.866 Tb
0.830 0.750 0.366 Tb
0.965 0.605 0.877 Tb
0.965 0.895 0.877 Tb
0.175 0.031 0.597 Cu
0.175 0.469 0.597 Cu
0.179 0.750 0.627 Cu
0.321 0.250 0.127 Cu
0.325 0.531 0.097 Cu
0.325 0.969 0.097 Cu
0.675 0.031 0.903 Cu
0.675 0.469 0.903 Cu
0.679 0.750 0.873 Cu
0.821 0.250 0.373 Cu
0.825 0.531 0.403 Cu
0.825 0.969 0.403 Cu
0.118 0.613 0.373 Ni
0.118 0.887 0.373 Ni
0.382 0.113 0.873 Ni
0.382 0.387 0.873 Ni
0.618 0.613 0.127 Ni
0.618 0.887 0.127 Ni
0.882 0.113 0.627 Ni
0.882 0.387 0.627 Ni
```


[6]
Structure and simulated powder diffraction line list of Pr3NdNi (DFT lattice parameters and positions (PBE); copper Kα).
Kinematic intensities with the Lorentz-polarization factor, no thermal factor.

Peak list (8 most intense, 10 to 90 degrees two-theta, in order of rising 2θ)
2θ/deg, intensity
29.13, 39
29.72, 51
30.09, 100
30.35, 82
31.40, 63
33.53, 76
34.11, 62
47.91, 46

Cell and atoms:
```
Pr3NdNi
1.0
6.136 -1.899 0.000
6.136 1.899 0.000
-5.610 0.000 13.142
Pr Nd Ni
6 2 2
direct
0.000 0.000 0.000 Pr
0.001 0.001 0.373 Pr
0.343 0.343 0.757 Pr
0.344 0.344 0.132 Pr
0.557 0.557 0.615 Pr
0.678 0.678 0.893 Pr
0.667 0.667 0.239 Nd
0.787 0.787 0.514 Nd
0.025 0.025 0.751 Ni
0.318 0.318 0.379 Ni
```


[7]
Structure and simulated powder diffraction line list of Ta10SeS3 (DFT lattice parameters and positions (PBE); copper Kα).
Kinematic intensities with the Lorentz-polarization factor, no thermal factor.

Peak list (8 most intense, 10 to 90 degrees two-theta, in order of rising 2θ)
2θ/deg, intensity
15.60, 11
33.33, 14
35.89, 12
38.18, 67
38.72, 100
41.78, 11
55.10, 23
69.37, 36

Cell and atoms:
```
Ta10SeS3
1.0
3.334 0.000 0.000
0.000 3.334 0.000
0.000 0.000 22.721
Ta Se S
10 1 3
direct
0.000 0.000 0.000 Ta
0.000 0.000 0.143 Ta
0.000 0.000 0.405 Ta
0.000 0.000 0.554 Ta
0.000 0.000 0.698 Ta
0.500 0.500 0.071 Ta
0.500 0.500 0.219 Ta
0.500 0.500 0.482 Ta
0.500 0.500 0.625 Ta
0.500 0.500 0.925 Ta
0.500 0.500 0.754 Se
0.000 0.000 0.262 S
0.000 0.000 0.880 S
0.500 0.500 0.362 S
```


[8]
Structure and simulated powder diffraction line list of Ba3PrIrRuO9 (DFT lattice parameters and positions (PBE); copper Kα).
Kinematic intensities with the Lorentz-polarization factor, no thermal factor.

Peak list (8 most intense, 10 to 90 degrees two-theta, in order of rising 2θ)
2θ/deg, intensity
24.62, 19
29.25, 66
29.71, 100
42.18, 37
45.58, 17
52.44, 24
52.72, 20
61.69, 18

Cell and atoms:
```
Ba3PrIrRuO9
1.0
6.015 0.000 0.000
-3.007 5.209 0.000
0.000 0.000 15.074
Ba Pr Ir Ru O
6 2 2 2 18
direct
0.000 0.000 0.000 Ba
0.000 0.000 0.500 Ba
0.333 0.667 0.145 Ba
0.333 0.667 0.851 Ba
0.667 0.333 0.351 Ba
0.667 0.333 0.645 Ba
0.000 0.000 0.249 Pr
0.000 0.000 0.749 Pr
0.333 0.667 0.583 Ir
0.667 0.333 0.083 Ir
0.333 0.667 0.416 Ru
0.667 0.333 0.916 Ru
0.019 0.509 0.500 O
0.178 0.357 0.344 O
0.178 0.822 0.344 O
0.179 0.357 0.659 O
0.179 0.821 0.659 O
0.357 0.178 0.844 O
0.357 0.179 0.159 O
0.491 0.509 0.500 O
0.491 0.981 0.500 O
0.509 0.019 0.000 O
0.509 0.491 0.000 O
0.643 0.821 0.659 O
0.643 0.822 0.344 O
0.821 0.179 0.159 O
0.821 0.643 0.159 O
0.822 0.178 0.844 O
0.822 0.643 0.844 O
0.981 0.491 0.000 O
```